BiTeI: computed XRD peak list (a wavelength of 1.5418 Å), based on a DFT-relaxed cell (PBE, the Materials Project).
Lines closer than 0.1° are merged.

Peak list (10 most intense, 10 to 80 degrees two-theta, by intensity)
2θ (°)  I/Imax  (hkl)
26.20  100.0  0 1 1
33.72  61.2  1 0 2
12.00  40.1  0 0 1
40.78  35.3  1 1 0
43.73  23.1  1 0 3
49.12  18.2  2 0 1
53.92  16.3  0 2 2
65.69  15.4  1 2 1
69.75  15.3  2 1 2
65.93  15.3  1 1 4

Cell and atoms:
```
BiTeI
1.0
4.425 0.000 0.000
-2.213 3.832 0.000
0.000 0.000 7.378
Bi Te I
1 1 1
direct
0.000 0.000 0.000
0.667 0.333 0.769
0.333 0.667 0.282
```

Tl3BiI6: computed XRD peak list (a wavelength of 1.5418 Å), based on a DFT-relaxed cell (PBE, the Materials Project).
Lines closer than 0.1° are merged.

Peak list (10 most intense, 10 to 80 degrees two-theta, by intensity)
2θ (°)  I/Imax  (hkl)
28.02  100.0  2 1 3
27.16  61.8  3 2 -1
30.73  50.4  1 3 1
28.37  39.1  2 2 -3
27.30  38.0  1 1 -4
32.41  22.2  4 0 -4
12.46  21.9  1 1 -1
13.06  21.0  2 0 0
43.62  19.3  5 3 -1
26.28  17.2  4 0 -2

Cell and atoms:
```
Tl3BiI6
1.0
14.016 0.000 0.000
0.000 9.279 0.000
-3.457 0.000 13.527
Tl Bi I
12 4 24
direct
0.047 0.159 0.308
0.047 0.341 0.808
0.206 0.641 0.985
0.206 0.859 0.485
0.350 0.123 0.131
0.350 0.377 0.631
0.650 0.623 0.369
0.650 0.877 0.869
0.794 0.141 0.515
0.794 0.359 0.015
0.953 0.659 0.192
0.953 0.841 0.692
0.267 0.504 0.299
0.267 0.996 0.799
0.733 0.004 0.201
0.733 0.496 0.701
0.102 0.512 0.414
0.102 0.988 0.914
0.108 0.142 0.620
0.108 0.358 0.120
0.188 0.693 0.707
0.188 0.807 0.207
0.316 0.198 0.384
0.316 0.302 0.884
0.403 0.664 0.469
0.403 0.836 0.969
0.425 0.014 0.682
0.425 0.486 0.182
0.575 0.514 0.818
0.575 0.986 0.318
0.597 0.164 0.031
0.597 0.336 0.531
0.684 0.698 0.116
0.684 0.802 0.616
0.812 0.193 0.793
0.812 0.307 0.293
0.892 0.642 0.880
0.892 0.858 0.380
0.898 0.012 0.086
0.898 0.488 0.586
```

Tl3Bi2I9: computed XRD peak list (a wavelength of 1.5418 Å), based on a DFT-relaxed cell (PBE, the Materials Project).
Lines closer than 0.1° are merged.

Peak list (10 most intense, 10 to 80 degrees two-theta, by intensity)
2θ (°)  I/Imax  (hkl)
38.05  100.0  3 3 -3
25.35  96.1  2 2 -1
25.11  89.9  3 1 -6
32.28  81.7  3 1 3
21.13  80.2  3 1 -3
30.19  79.5  4 0 -8
27.08  74.7  4 1 -5
29.92  60.3  2 2 2
16.64  59.5  0 0 4
27.46  57.9  0 1 6

Cell and atoms:
```
Tl3Bi2I9
1.0
14.803 0.000 0.000
0.000 8.089 0.000
-13.660 0.000 21.254
Tl Bi I
12 8 36
direct
0.019 0.039 0.385
0.019 0.461 0.885
0.325 0.543 0.786
0.325 0.957 0.286
0.348 0.038 0.048
0.348 0.462 0.548
0.652 0.538 0.452
0.652 0.962 0.952
0.675 0.043 0.714
0.675 0.457 0.214
0.981 0.539 0.115
0.981 0.961 0.615
0.172 0.503 0.340
0.172 0.997 0.840
0.327 0.515 0.159
0.327 0.985 0.659
0.673 0.015 0.341
0.673 0.485 0.841
0.828 0.003 0.160
0.828 0.497 0.660
0.064 0.673 0.752
0.064 0.827 0.252
0.098 0.610 0.424
0.098 0.890 0.924
0.151 0.178 0.551
0.151 0.322 0.051
0.193 0.681 0.624
0.193 0.819 0.124
0.229 0.127 0.740
0.229 0.373 0.240
0.269 0.189 0.413
0.269 0.311 0.913
0.381 0.682 0.417
0.381 0.818 0.917
0.428 0.612 0.089
0.428 0.888 0.589
0.476 0.178 0.209
0.476 0.322 0.709
0.524 0.678 0.291
0.524 0.822 0.791
0.572 0.112 0.411
0.572 0.388 0.911
0.619 0.182 0.083
0.619 0.318 0.583
0.731 0.689 0.087
0.731 0.811 0.587
0.771 0.627 0.760
0.771 0.873 0.260
0.807 0.181 0.876
0.807 0.319 0.376
0.849 0.678 0.949
0.849 0.822 0.449
0.902 0.110 0.076
0.902 0.390 0.576
0.936 0.173 0.748
0.936 0.327 0.248
```